Diffraction record for Te4MoW3Se2S2. The powder XRD pattern is calculated, not measured: it uses a DFT-relaxed cell (GGA-PBE, the Materials Project) and Cu Ka.

Main lines, sorted by position (2θ from 15° to 90°):
| 2θ/deg | d [Å] | I_rel | h k l |
| --- | --- | --- | --- |
| 30.36 | 2.944 | 56 | 1 0 0 |
| 32.34 | 2.768 | 19 | 1 0 5 |
| 34.16 | 2.625 | 20 | 1 0 7 |
| 35.26 | 2.546 | 100 | 0 1 8 |
| 36.46 | 2.464 | 20 | 0 1 9 |
| 42.24 | 2.139 | 74 | 0 1 13 |
| 43.89 | 2.063 | 25 | 1 0 14 |
| 53.91 | 1.701 | 43 | 1 1 0 |
| 55.16 | 1.665 | 19 | 1 1 5 |
| 74.40 | 1.275 | 19 | 1 1 21 |

Structural model:
abc: 3.4022 3.4022 40.4492
angles: 90.00 90.00 120.00
Space group P3m1 (No. 156)
Symmetry-distinct sites (fractional):
Te  0.0000  0.0000  0.0000 x1
Te  0.0000  0.0000  0.0931 x1
Te  0.3333  0.6667  0.8088 x1
Te  0.3333  0.6667  0.9019 x1
Mo  0.0000  0.0000  0.4812 x1
W  0.0000  0.0000  0.8554 x1
W  0.3333  0.6667  0.0466 x1
W  0.3333  0.6667  0.6682 x1
Se  0.0000  0.0000  0.6274 x1
Se  0.0000  0.0000  0.7090 x1
S  0.3333  0.6667  0.4441 x1
S  0.3333  0.6667  0.5183 x1